# 1
This entry pairs a crystal structure of Ce2Re2Si2C with its calculated powder XRD pattern. Radiation: Cu Ka. Structure: a structure optimized by DFT (GGA-PBE).
Kinematic intensities with the Lorentz-polarization factor, no thermal factor.

Cell and atoms:
Lattice parameters (Å, degrees): 11.0475 4.1078 7.0146 90.00 128.17 90.00
Space group C2/m (No. 12)
One atom of each set of equivalent atoms:
1 Ce 0.0706 0.0000 0.2985 x4
2 Re 0.2075 0.5000 0.0936 x4
3 Si 0.1443 0.5000 0.6881 x4
4 C 0.0000 0.5000 0.0000 x2

Principal peaks in the range 2θ from 5° to 70°, low angle first:
Position (°2θ), I_rel, index
16.1, 34, 0 0 1
32.8, 97, 3 1 -1
33.2, 55, 2 0 1
35.0, 100, 1 1 -2
38.0, 26, 3 1 0
40.2, 29, 4 0 -3
44.1, 31, 0 2 0
56.3, 25, 2 2 1


# 2
This entry pairs a crystal structure of CeRhC2 with its calculated powder XRD pattern. Radiation: Cu Ka. Structure: a structure optimized by DFT (GGA-PBE).
Kinematic intensities with the Lorentz-polarization factor, no thermal factor.

Cell and atoms:
Lattice parameters (Å, degrees): 3.8807 3.8807 15.4287 90.00 90.00 90.00
Space group P4_3 (No. 78)
One atom of each set of equivalent atoms:
1 Ce 0.1432 0.1458 0.0000 x4
2 Rh 0.3460 0.6460 0.8457 x4
3 C 0.1457 0.3481 0.3904 x4
4 C 0.3395 0.6490 0.7126 x4

Principal peaks in the range 2θ from 5° to 70°, low angle first:
Position (°2θ), I_rel, index
28.8, 78, 1 0 3
32.7, 96, 1 0 4
33.2, 66, 1 1 1
34.7, 80, 1 1 2
37.2, 100, 1 0 5
47.2, 73, 0 0 8
47.4, 27, 1 0 7
64.8, 50, 1 2 6


# 3
This entry pairs a crystal structure of CeRh3C with its calculated powder XRD pattern. Radiation: Cu Ka. Structure: a structure optimized by DFT (GGA-PBE).
Kinematic intensities with the Lorentz-polarization factor, no thermal factor.

Cell and atoms:
Lattice parameters (Å, degrees): 4.2285 4.2285 4.2285 90.00 90.00 90.00
Space group Pm-3m (No. 221)
One atom of each set of equivalent atoms:
1 Ce 0.0000 0.0000 0.0000 x1
2 Rh 0.0000 0.5000 0.5000 x3
3 C 0.5000 0.5000 0.5000 x1

Principal peaks in the range 2θ from 5° to 70°, low angle first:
Position (°2θ), I_rel, index
21.0, 1, 1 0 0
29.9, 3, 1 1 0
36.8, 100, 1 1 1
42.8, 54, 2 0 0
53.0, 1, 2 1 1
62.1, 35, 2 2 0


# 4
This entry pairs a crystal structure of CeRhC2 with its calculated powder XRD pattern. Radiation: Cu Ka. Structure: a structure optimized by DFT (GGA-PBE).
Kinematic intensities with the Lorentz-polarization factor, no thermal factor.

Cell and atoms:
Lattice parameters (Å, degrees): 3.8787 3.8787 15.4465 90.00 90.00 90.00
Space group P4_1 (No. 76)
One atom of each set of equivalent atoms:
1 Ce 0.1444 0.8514 0.0000 x4
2 Rh 0.3445 0.3542 0.8454 x4
3 C 0.1477 0.6497 0.3902 x4
4 C 0.3354 0.3518 0.7121 x4

Principal peaks in the range 2θ from 5° to 70°, low angle first:
Position (°2θ), I_rel, index
28.8, 69, 1 0 3
32.7, 100, 1 0 4
33.2, 57, 1 1 1
34.7, 72, 1 1 2
37.2, 88, 1 0 5
47.2, 48, 2 0 1
47.4, 24, 1 0 7
64.8, 44, 2 1 6


# 5
This entry pairs a crystal structure of CeRu3C with its calculated powder XRD pattern. Radiation: Cu Ka. Structure: a structure optimized by DFT (GGA-PBE).
Kinematic intensities with the Lorentz-polarization factor, no thermal factor.

Cell and atoms:
Lattice parameters (Å, degrees): 4.1859 4.1859 4.1859 90.00 90.00 90.00
Space group Pm-3m (No. 221)
One atom of each set of equivalent atoms:
1 Ce 0.0000 0.0000 0.0000 x1
2 Ru 0.0000 0.5000 0.5000 x3
3 C 0.5000 0.5000 0.5000 x1

Principal peaks in the range 2θ from 5° to 70°, low angle first:
Position (°2θ), I_rel, index
21.2, 1, 1 0 0
30.2, 3, 1 1 0
37.2, 100, 1 1 1
43.2, 53, 2 0 0
48.6, 1, 2 1 0
53.6, 1, 2 1 1
62.8, 34, 2 2 0


# 6
This entry pairs a crystal structure of Ce3SnC with its calculated powder XRD pattern. Radiation: Cu Ka. Structure: a structure optimized by DFT (GGA-PBE).
Kinematic intensities with the Lorentz-polarization factor, no thermal factor.

Cell and atoms:
Lattice parameters (Å, degrees): 5.8433 5.8433 5.8433 90.00 90.00 90.00
Space group Pm-3m (No. 221)
One atom of each set of equivalent atoms:
1 Ce 0.0000 0.0000 0.5000 x3
2 Sn 0.0000 0.0000 0.0000 x1
3 C 0.5000 0.5000 0.5000 x1

Principal peaks in the range 2θ from 5° to 70°, low angle first:
Position (°2θ), I_rel, index
15.2, 100, 1 0 0
26.4, 57, 1 1 1
30.6, 92, 2 0 0
34.3, 56, 2 1 0
43.8, 69, 2 2 0
46.6, 30, 3 0 0
51.9, 25, 3 1 1
54.4, 24, 2 2 2


# 7
This entry pairs a crystal structure of Ce3TlC with its calculated powder XRD pattern. Radiation: Cu Ka. Structure: a structure optimized by DFT (GGA-PBE).
Kinematic intensities with the Lorentz-polarization factor, no thermal factor.

Cell and atoms:
Lattice parameters (Å, degrees): 5.8624 5.8624 5.8624 90.00 90.00 90.00
Space group Pm-3m (No. 221)
One atom of each set of equivalent atoms:
1 Ce 0.0000 0.0000 0.5000 x3
2 Tl 0.0000 0.0000 0.0000 x1
3 C 0.5000 0.5000 0.5000 x1

Principal peaks in the range 2θ from 5° to 70°, low angle first:
Position (°2θ), I_rel, index
15.1, 100, 1 0 0
26.3, 19, 1 1 1
30.5, 70, 2 0 0
34.2, 56, 2 1 0
43.7, 53, 2 2 0
46.5, 31, 3 0 0
54.2, 19, 2 2 2
65.7, 18, 4 1 0


# 8
This entry pairs a crystal structure of CeUC4 with its calculated powder XRD pattern. Radiation: Cu Ka. Structure: a structure optimized by DFT (GGA-PBE).
Kinematic intensities with the Lorentz-polarization factor, no thermal factor.

Cell and atoms:
Lattice parameters (Å, degrees): 4.9650 5.8796 5.8897 90.00 90.00 90.00
Space group Pmna (No. 53)
One atom of each set of equivalent atoms:
1 Ce 0.0000 0.0000 0.0000 x2
2 U 0.0000 0.5000 0.5000 x2
3 C 0.0000 0.1152 0.4948 x4
4 C 0.0000 0.4929 0.8871 x4

Principal peaks in the range 2θ from 5° to 70°, low angle first:
Position (°2θ), I_rel, index
28.0, 100, 1 1 1
30.4, 57, 0 0 2
36.2, 20, 2 0 0
43.5, 19, 0 2 2
47.9, 32, 2 0 2
52.5, 43, 1 3 1
57.8, 18, 2 2 2
60.2, 14, 3 1 1